Entry 1:
Starting from the PBE geometry in Alexandria, the powder XRD pattern of RbMn2CuS4 was calculated for Cu Ka.
Kinematic intensities with the Lorentz-polarization factor, no thermal factor.

Most intense lines, 15 to 90 degrees two-theta, in order of falling intensity:
27.07 deg, intensity 100; 22.09 deg, intensity 98; 42.65 deg, intensity 91; 29.06 deg, intensity 90; 28.96 deg, intensity 75; 39.81 deg, intensity 70; 37.82 deg, intensity 51; 53.93 deg, intensity 46; 18.65 deg, intensity 42; 30.06 deg, intensity 39

Crystal structure
Lattice parameters (Å, degrees): 6.8356 6.8356 6.8356 132.75 107.86 90.83
Fractional positions:
Rb 0.0000 0.0000 0.0000
Mn 0.3905 0.8905 0.5000
Mn 0.6095 0.1095 0.5000
Cu 0.5000 0.5000 0.0000
S 0.1797 0.1245 0.6479
S 0.4766 0.5318 0.3521
S 0.5234 0.8755 0.0552
S 0.8203 0.4682 0.9448

---

Entry 2:
Starting from the PBE geometry in Alexandria, the powder XRD pattern of Tb4CoSi3 was calculated for Cu Ka.
Kinematic intensities with the Lorentz-polarization factor, no thermal factor.

Most intense lines, 15 to 90 degrees two-theta, in order of falling intensity:
32.55 deg, intensity 100; 28.60 deg, intensity 58; 32.99 deg, intensity 56; 40.64 deg, intensity 33; 22.65 deg, intensity 27; 33.72 deg, intensity 27; 42.81 deg, intensity 23; 52.30 deg, intensity 22; 58.75 deg, intensity 22; 53.80 deg, intensity 19

Crystal structure
Lattice parameters (Å, degrees): 3.8549 4.2246 10.6323 90.00 90.00 90.00
Fractional positions:
Tb 0.0000 0.0000 0.0000
Tb 0.0000 0.5000 0.4907
Tb 0.5000 0.0000 0.7090
Tb 0.5000 0.5000 0.2165
Co 0.0000 0.0000 0.2856
Si 0.0000 0.5000 0.7783
Si 0.5000 0.0000 0.4193
Si 0.5000 0.5000 0.9227